1.
Starting from a crystal structure in Alexandria, relaxed with PBE, the X-ray diffraction stick pattern of Nd3Cd7Ga4 was simulated for Cu Ka.

The 10 most intense peaks (2θ from 15° to 90°), in order of rising 2θ:
2theta  d (Å)  Rel. int.  (hkl)
32.66  2.742  89  1 1 2
32.93  2.720  100  5 1 -2
33.82  2.651  42  3 1 1
35.16  2.552  17  1 1 -3
35.43  2.534  25  5 1 -3
39.46  2.284  56  0 2 0
39.57  2.278  34  6 0 0
40.77  2.213  23  3 1 -4
57.11  1.613  23  6 2 0
62.80  1.480  14  3 1 4

Structure:
Cell lengths 16.989, 4.568, 10.273 Å; angles 90.00, 126.45, 90.00 degrees
Space group C2/m (No. 12)
Asymmetric unit:
Nd: 0.000 0.000 0.000 x2
Nd: 0.201 0.500 0.714 x4
Cd: 0.000 0.000 0.500 x2
Cd: 0.011 0.500 0.316 x4
Cd: 0.160 0.000 0.431 x4
Cd: 0.160 0.500 0.013 x4
Ga: 0.137 0.000 0.851 x4
Ga: 0.153 0.500 0.265 x4


2.
Starting from a crystal structure in Alexandria, relaxed with PBE, the X-ray diffraction stick pattern of Nd3CdGa was simulated for Cu Ka.

The 10 most intense peaks (2θ from 15° to 90°), in order of rising 2θ:
2theta  d (Å)  Rel. int.  (hkl)
23.87  3.729  6  1 1 1
32.52  2.753  100  1 5 1
33.39  2.684  52  2 0 0
45.34  2.000  7  0 10 0
47.94  1.898  19  2 0 2
57.47  1.604  14  2 10 0
59.13  1.562  35  3 5 1
68.12  1.377  8  2 10 2
79.46  1.206  7  3 5 3
79.94  1.200  8  4 0 2

Structure:
Cell lengths 5.368, 20.000, 5.366 Å; angles 90.00, 90.00, 90.00 degrees
Space group Cmcm (No. 63)
Asymmetric unit:
Nd: 0.000 0.064 0.250 x4
Nd: 0.000 0.249 0.250 x4
Nd: 0.000 0.435 0.250 x4
Cd: 0.000 0.345 0.750 x4
Ga: 0.000 0.156 0.750 x4


3.
Starting from a crystal structure in Alexandria, relaxed with PBE, the X-ray diffraction stick pattern of NdCdGaO4 was simulated for Cu Ka.

The 10 most intense peaks (2θ from 15° to 90°), in order of rising 2θ:
2theta  d (Å)  Rel. int.  (hkl)
28.96  3.083  52  2 0 0
30.53  2.928  100  1 1 2
31.33  2.855  98  1 3 0
43.17  2.096  32  2 2 2
45.45  1.996  18  0 4 2
51.58  1.772  13  0 0 4
52.32  1.749  20  3 1 2
52.84  1.733  19  3 3 0
54.79  1.675  29  2 4 2
61.61  1.505  22  1 3 4

Structure:
Cell lengths 6.167, 9.661, 7.088 Å; angles 90.00, 90.00, 90.00 degrees
Space group Cmcm (No. 63)
Asymmetric unit:
Nd: 0.000 0.000 0.000 x4
Cd: 0.000 0.331 0.250 x4
Ga: 0.000 0.352 0.750 x4
O: 0.000 0.243 0.536 x8
O: 0.238 0.479 0.750 x8